Diffraction record for ReRhW2. The XRD peak list is calculated, not measured: it uses a cell relaxed with GGA-PBE and λ = 1.5418 Å (Cu Kα).
Neutral-atom scattering factors, no anomalous dispersion.

Largest 10 diffraction maxima, low angle first, 10 to 90 degrees two-theta:
- d 4.007, 22.18°, I = 1
- d 3.521, 25.29°, I = 4
- d 2.280, 39.53°, I = 100
- d 2.004, 45.26°, I = 17
- d 1.960, 46.32°, I = 32
- d 1.401, 66.76°, I = 22
- d 1.386, 67.59°, I = 10
- d 1.203, 79.68°, I = 13
- d 1.184, 81.23°, I = 25
- d 1.140, 85.12°, I = 11

```
8
Lattice="3.920 0.000 0.000 0.000 3.920 0.000 0.000 0.000 8.015" Properties=species:S:1:pos:R:3 pbc="T T T"
Re 0.000 0.000 0.000
Re 1.960 1.960 4.007
Rh 0.000 1.960 2.004
Rh 1.960 0.000 6.011
W 0.000 0.000 4.007
W 0.000 1.960 6.011
W 1.960 0.000 2.004
W 1.960 1.960 0.000
```

=====

Diffraction record for ReRh4W. The XRD peak list is calculated, not measured: it uses a cell relaxed with GGA-PBE and λ = 1.5418 Å (Cu Kα).
Neutral-atom scattering factors, no anomalous dispersion.

Largest 9 diffraction maxima, low angle first, 10 to 90 degrees two-theta:
- d 4.106, 21.64°, I = 1
- d 2.514, 35.71°, I = 48
- d 2.144, 42.14°, I = 100
- d 2.053, 44.11°, I = 24
- d 1.632, 56.39°, I = 1
- d 1.452, 64.15°, I = 18
- d 1.369, 68.56°, I = 31
- d 1.257, 75.64°, I = 25
- d 1.124, 86.56°, I = 8

```
6
Lattice="0.000 3.556 3.556 3.556 0.000 3.556 3.556 3.556 0.000" Properties=species:S:1:pos:R:3 pbc="T T T"
Re 0.000 0.000 0.000
Rh 4.446 2.665 2.665
Rh 2.665 4.446 2.665
Rh 2.665 2.665 4.446
Rh 4.446 4.446 4.446
W 1.778 1.778 1.778
```

=====

Diffraction record for ZnRe4Rh. The XRD peak list is calculated, not measured: it uses a cell relaxed with GGA-PBE and λ = 1.5418 Å (Cu Kα).
Neutral-atom scattering factors, no anomalous dispersion.

Largest 10 diffraction maxima, low angle first, 10 to 90 degrees two-theta:
- d 4.209, 21.11°, I = 44
- d 2.577, 34.81°, I = 10
- d 2.198, 41.06°, I = 100
- d 2.105, 42.98°, I = 65
- d 1.823, 50.05°, I = 18
- d 1.672, 54.90°, I = 11
- d 1.403, 66.66°, I = 32
- d 1.289, 73.48°, I = 31
- d 1.112, 87.80°, I = 12
- d 1.099, 89.09°, I = 26

```
6
Lattice="0.000 3.645 3.645 3.645 0.000 3.645 3.645 3.645 0.000" Properties=species:S:1:pos:R:3 pbc="T T T"
Zn 0.000 0.000 0.000
Re 4.558 2.733 2.733
Re 2.733 4.558 2.733
Re 2.733 2.733 4.558
Re 4.558 4.558 4.558
Rh 1.823 1.823 1.823
```

=====

Diffraction record for ZnRe2Rh. The XRD peak list is calculated, not measured: it uses a cell relaxed with GGA-PBE and λ = 1.5418 Å (Cu Kα).
Neutral-atom scattering factors, no anomalous dispersion.

Largest 10 diffraction maxima, low angle first, 10 to 90 degrees two-theta:
- d 7.386, 11.98°, I = 28
- d 2.621, 34.21°, I = 10
- d 2.233, 40.40°, I = 100
- d 1.982, 45.77°, I = 35
- d 1.847, 49.33°, I = 18
- d 1.402, 66.74°, I = 11
- d 1.351, 69.58°, I = 20
- d 1.187, 80.99°, I = 26
- d 1.127, 86.31°, I = 11
- d 1.117, 87.33°, I = 13

```
4
Lattice="2.803 0.000 0.000 0.000 2.803 0.000 0.000 0.000 7.386" Properties=species:S:1:pos:R:3 pbc="T T T"
Zn 0.000 0.000 0.000
Re 0.000 0.000 3.749
Re 1.402 1.402 1.921
Rh 1.402 1.402 5.606
```

=====

Diffraction record for Zr5ReRh4. The XRD peak list is calculated, not measured: it uses a cell relaxed with GGA-PBE and λ = 1.5418 Å (Cu Kα).
Neutral-atom scattering factors, no anomalous dispersion.

Largest 10 diffraction maxima, low angle first, 10 to 90 degrees two-theta:
- d 8.149, 10.86°, I = 2
- d 3.322, 26.84°, I = 2
- d 2.349, 38.32°, I = 51
- d 2.327, 38.70°, I = 100
- d 1.661, 55.32°, I = 17
- d 1.630, 56.46°, I = 8
- d 1.352, 69.55°, I = 34
- d 1.339, 70.30°, I = 16
- d 1.174, 82.06°, I = 5
- d 1.163, 83.01°, I = 11

```
10
Lattice="3.322 0.000 0.000 0.000 3.322 0.000 0.000 0.000 16.299" Properties=species:S:1:pos:R:3 pbc="T T T"
Zr 0.000 0.000 0.000
Zr 0.000 0.000 3.253
Zr 0.000 0.000 6.547
Zr 0.000 0.000 9.752
Zr 0.000 0.000 13.046
Re 1.661 1.661 8.149
Rh 1.661 1.661 1.641
Rh 1.661 1.661 4.848
Rh 1.661 1.661 11.451
Rh 1.661 1.661 14.658
```

=====

Diffraction record for ReRu2. The XRD peak list is calculated, not measured: it uses a cell relaxed with GGA-PBE and λ = 1.5418 Å (Cu Kα).
Neutral-atom scattering factors, no anomalous dispersion.

Largest 10 diffraction maxima, low angle first, 10 to 90 degrees two-theta:
- d 3.712, 23.97°, I = 8
- d 2.379, 37.82°, I = 25
- d 2.174, 41.54°, I = 25
- d 2.087, 43.36°, I = 100
- d 1.605, 57.42°, I = 14
- d 1.372, 68.35°, I = 11
- d 1.238, 77.05°, I = 18
- d 1.162, 83.10°, I = 7
- d 1.160, 83.26°, I = 13
- d 1.148, 84.38°, I = 10

```
12
Lattice="2.750 0.000 0.000 0.000 14.252 0.000 0.000 0.000 4.348" Properties=species:S:1:pos:R:3 pbc="T T T"
Re 0.000 1.595 1.087
Re 0.000 12.657 3.261
Re 1.375 5.531 3.261
Re 1.375 8.720 1.087
Ru 0.000 3.172 3.261
Ru 0.000 6.315 1.087
Ru 0.000 7.937 3.261
Ru 0.000 11.080 1.087
Ru 1.375 0.811 3.261
Ru 1.375 3.954 1.087
Ru 1.375 10.298 3.261
Ru 1.375 13.441 1.087
```

=====

Diffraction record for ReRu2. The XRD peak list is calculated, not measured: it uses a cell relaxed with GGA-PBE and λ = 1.5418 Å (Cu Kα).
Neutral-atom scattering factors, no anomalous dispersion.

Largest 10 diffraction maxima, low angle first, 10 to 90 degrees two-theta:
- d 3.928, 22.64°, I = 11
- d 2.380, 37.81°, I = 36
- d 2.174, 41.54°, I = 37
- d 2.089, 43.32°, I = 100
- d 2.085, 43.40°, I = 49
- d 1.606, 57.39°, I = 14
- d 1.373, 68.33°, I = 17
- d 1.237, 77.08°, I = 18
- d 1.161, 83.18°, I = 15
- d 1.148, 84.33°, I = 14

```
12
Lattice="8.257 0.000 0.000 0.000 4.752 0.000 -2.745 0.000 4.348" Properties=species:S:1:pos:R:3 pbc="T T T"
Re -0.686 0.391 1.087
Re -2.059 4.361 3.261
Re 2.069 1.985 3.261
Re 3.442 2.767 1.087
Ru -0.683 1.984 3.280
Ru 0.689 2.768 1.106
Ru 2.067 0.392 1.068
Ru 0.694 4.359 3.242
Ru 4.817 0.392 1.106
Ru 3.445 4.359 3.280
Ru 4.822 1.984 3.242
Ru 6.195 2.768 1.068
```

=====

Diffraction record for ReRu2. The XRD peak list is calculated, not measured: it uses a cell relaxed with GGA-PBE and λ = 1.5418 Å (Cu Kα).
Neutral-atom scattering factors, no anomalous dispersion.

Largest 10 diffraction maxima, low angle first, 10 to 90 degrees two-theta:
- d 4.355, 20.39°, I = 6
- d 2.378, 37.83°, I = 27
- d 2.177, 41.47°, I = 25
- d 2.087, 43.35°, I = 100
- d 1.606, 57.38°, I = 16
- d 1.374, 68.27°, I = 11
- d 1.239, 76.94°, I = 12
- d 1.162, 83.14°, I = 13
- d 1.160, 83.27°, I = 7
- d 1.146, 84.51°, I = 10

```
12
Lattice="9.921 0.000 0.000 0.000 2.743 0.000 -1.539 0.000 6.270" Properties=species:S:1:pos:R:3 pbc="T T T"
Re 0.000 0.000 0.000
Re 1.159 1.371 2.115
Re 4.961 1.371 0.000
Re 6.119 0.000 2.115
Ru -0.382 0.000 3.847
Ru 0.751 1.371 5.943
Ru 2.289 0.000 4.203
Ru 3.447 0.000 1.754
Ru 4.579 1.371 3.847
Ru 5.711 0.000 5.943
Ru 7.250 1.371 4.203
Ru 8.408 1.371 1.754
```

=====

Diffraction record for Re7Ru. The XRD peak list is calculated, not measured: it uses a cell relaxed with GGA-PBE and λ = 1.5418 Å (Cu Kα).
Neutral-atom scattering factors, no anomalous dispersion.

Largest 10 diffraction maxima, low angle first, 10 to 90 degrees two-theta:
- d 4.507, 19.70°, I = 2
- d 3.903, 22.78°, I = 1
- d 2.760, 32.44°, I = 1
- d 2.354, 38.24°, I = 1
- d 2.254, 40.01°, I = 100
- d 1.952, 46.53°, I = 49
- d 1.791, 50.99°, I = 1
- d 1.380, 67.92°, I = 32
- d 1.177, 81.84°, I = 39
- d 1.127, 86.34°, I = 11

```
8
Lattice="0.000 3.903 3.903 3.903 0.000 3.903 3.903 3.903 0.000" Properties=species:S:1:pos:R:3 pbc="T T T"
Re 0.000 0.000 0.000
Re 1.952 1.952 0.000
Re 1.952 0.000 1.952
Re 3.903 1.952 1.952
Re 0.000 1.952 1.952
Re 1.952 3.903 1.952
Re 1.952 1.952 3.903
Ru 3.903 3.903 3.903
```

=====

Diffraction record for ReRu5. The XRD peak list is calculated, not measured: it uses a cell relaxed with GGA-PBE and λ = 1.5418 Å (Cu Kα).
Neutral-atom scattering factors, no anomalous dispersion.

Largest 10 diffraction maxima, low angle first, 10 to 90 degrees two-theta:
- d 2.369, 37.98°, I = 38
- d 2.166, 41.69°, I = 37
- d 2.080, 43.52°, I = 100
- d 2.077, 43.57°, I = 50
- d 1.599, 57.64°, I = 15
- d 1.369, 68.55°, I = 17
- d 1.233, 77.37°, I = 18
- d 1.157, 83.55°, I = 20
- d 1.155, 83.71°, I = 10
- d 1.142, 84.93°, I = 14

```
12
Lattice="9.876 0.000 0.000 0.000 2.732 0.000 -1.523 0.000 6.246" Properties=species:S:1:pos:R:3 pbc="T T T"
Re 0.000 0.000 0.000
Re 4.938 1.366 0.000
Ru -0.387 0.000 3.831
Ru 1.146 1.366 2.095
Ru 0.757 1.366 5.914
Ru 2.273 0.000 4.177
Ru 3.427 0.000 1.746
Ru 4.551 1.366 3.831
Ru 6.084 0.000 2.095
Ru 5.695 0.000 5.914
Ru 7.211 1.366 4.177
Ru 8.365 1.366 1.746
```

=====

Diffraction record for Re3Ru5. The XRD peak list is calculated, not measured: it uses a cell relaxed with GGA-PBE and λ = 1.5418 Å (Cu Kα).
Neutral-atom scattering factors, no anomalous dispersion.

Largest 10 diffraction maxima, low angle first, 10 to 90 degrees two-theta:
- d 2.461, 36.52°, I = 27
- d 2.450, 36.68°, I = 41
- d 2.427, 37.05°, I = 63
- d 2.199, 41.04°, I = 100
- d 2.100, 43.08°, I = 23
- d 2.092, 43.25°, I = 56
- d 2.072, 43.68°, I = 31
- d 1.942, 46.79°, I = 40
- d 1.930, 47.10°, I = 41
- d 1.361, 69.02°, I = 21

```
16
Lattice="6.358 0.000 0.000 0.000 4.900 0.000 -3.159 0.000 7.773" Properties=species:S:1:pos:R:3 pbc="T T T"
Re -1.283 1.225 3.361
Re 2.581 1.225 0.005
Re 1.286 3.675 3.356
Re 1.913 1.225 4.417
Re 0.618 3.675 7.769
Re 4.483 3.675 4.412
Ru -2.359 1.225 5.892
Ru -2.061 3.675 7.770
Ru 0.806 1.225 1.900
Ru 0.017 0.001 5.552
Ru 0.017 2.449 5.552
Ru 3.182 4.899 2.221
Ru 3.182 2.451 2.221
Ru 2.393 3.675 5.874
Ru 5.260 1.225 0.004
Ru 5.558 3.675 1.882
```

=====

Diffraction record for ReSbRu. The XRD peak list is calculated, not measured: it uses a cell relaxed with GGA-PBE and λ = 1.5418 Å (Cu Kα).
Neutral-atom scattering factors, no anomalous dispersion.

Largest 10 diffraction maxima, low angle first, 10 to 90 degrees two-theta:
- d 2.397, 37.52°, I = 100
- d 2.272, 39.67°, I = 84
- d 2.023, 44.80°, I = 59
- d 2.012, 45.05°, I = 30
- d 1.492, 62.23°, I = 11
- d 1.427, 65.41°, I = 38
- d 1.247, 76.37°, I = 24
- d 1.224, 78.10°, I = 12
- d 1.198, 80.07°, I = 11
- d 1.194, 80.47°, I = 20

```
6
Lattice="2.984 0.000 0.000 0.000 4.025 0.000 0.000 0.000 8.258" Properties=species:S:1:pos:R:3 pbc="T T T"
Re 0.000 0.000 0.000
Re 1.492 2.012 4.129
Sb 0.000 0.000 2.682
Sb 1.492 2.012 6.811
Ru 0.000 0.000 5.355
Ru 1.492 2.012 1.226
```

=====

Diffraction record for ReSbRu. The XRD peak list is calculated, not measured: it uses a cell relaxed with GGA-PBE and λ = 1.5418 Å (Cu Kα).
Neutral-atom scattering factors, no anomalous dispersion.

Largest 10 diffraction maxima, low angle first, 10 to 90 degrees two-theta:
- d 6.537, 13.55°, I = 11
- d 2.400, 37.47°, I = 100
- d 2.179, 41.44°, I = 23
- d 2.025, 44.75°, I = 60
- d 1.490, 62.32°, I = 22
- d 1.381, 67.89°, I = 17
- d 1.266, 75.04°, I = 13
- d 1.230, 77.63°, I = 22
- d 1.200, 79.94°, I = 11
- d 1.166, 82.76°, I = 9

```
3
Lattice="2.980 0.000 0.000 -1.490 2.581 0.000 0.000 0.000 6.537" Properties=species:S:1:pos:R:3 pbc="T T T"
Re 0.000 0.000 0.000
Sb 0.000 1.720 4.230
Ru 1.490 0.860 2.013
```

=====

Diffraction record for ReSb2Ru. The XRD peak list is calculated, not measured: it uses a cell relaxed with GGA-PBE and λ = 1.5418 Å (Cu Kα).
Neutral-atom scattering factors, no anomalous dispersion.

Largest 10 diffraction maxima, low angle first, 10 to 90 degrees two-theta:
- d 5.255, 16.87°, I = 14
- d 2.516, 35.68°, I = 100
- d 2.287, 39.39°, I = 39
- d 2.202, 40.98°, I = 34
- d 2.102, 43.03°, I = 24
- d 1.948, 46.63°, I = 47
- d 1.533, 60.38°, I = 26
- d 1.407, 66.43°, I = 16
- d 1.309, 72.15°, I = 13
- d 1.239, 76.98°, I = 26

```
12
Lattice="3.066 0.000 0.000 -1.533 2.655 0.000 0.000 0.000 31.533" Properties=species:S:1:pos:R:3 pbc="T T T"
Re 0.000 0.000 0.000
Re 0.000 1.770 21.022
Re 1.533 0.885 10.511
Sb 0.000 0.000 8.348
Sb 0.000 0.000 14.666
Sb 0.000 1.770 4.155
Sb 0.000 1.770 29.369
Sb 1.533 0.885 18.859
Sb 1.533 0.885 25.176
Ru 0.000 0.000 23.094
Ru 0.000 1.770 12.584
Ru 1.533 0.885 2.073
```

=====

Diffraction record for ScRe2Ru2. The XRD peak list is calculated, not measured: it uses a cell relaxed with GGA-PBE and λ = 1.5418 Å (Cu Kα).
Neutral-atom scattering factors, no anomalous dispersion.

Largest 10 diffraction maxima, low angle first, 10 to 90 degrees two-theta:
- d 5.398, 16.42°, I = 60
- d 3.414, 26.10°, I = 10
- d 2.414, 37.25°, I = 42
- d 2.245, 40.18°, I = 11
- d 2.153, 41.96°, I = 100
- d 2.117, 42.71°, I = 25
- d 1.908, 47.65°, I = 18
- d 1.683, 54.52°, I = 21
- d 1.318, 71.62°, I = 12
- d 1.262, 75.28°, I = 14

```
10
Lattice="7.633 0.000 0.000 0.000 7.633 0.000 0.000 0.000 2.775" Properties=species:S:1:pos:R:3 pbc="T T T"
Sc 0.000 0.000 0.000
Sc 3.817 3.817 0.000
Re 0.921 2.896 0.000
Re 2.896 6.712 0.000
Re 4.737 0.921 0.000
Re 6.712 4.737 0.000
Ru 1.304 5.121 1.388
Ru 2.513 1.304 1.388
Ru 5.121 6.329 1.388
Ru 6.329 2.513 1.388
```